Starting from the PBE geometry in Alexandria, the powder diffractogram of Li2SbMo was computed for a wavelength of 1.5418 Å.
Neutral-atom scattering factors, no anomalous dispersion.

Structural model:
abc: 4.413 4.413 8.496
angles: 90.00 90.00 120.00
Sites, in units of the cell vectors:
1 Li 0.000 0.000 0.149
2 Li 0.000 0.000 0.851
3 Li 0.333 0.667 0.404
4 Li 0.667 0.333 0.596
5 Sb 0.333 0.667 0.742
6 Sb 0.667 0.333 0.258
7 Mo 0.333 0.667 0.063
8 Mo 0.667 0.333 0.937

Main lines, in order of falling intensity (5° ≤ 2θ ≤ 70°):
39.61 deg, rel. 100, hkl 1 0 3
10.41 deg, rel. 83, hkl 0 0 1
40.90 deg, rel. 67, hkl 1 1 0
23.28 deg, rel. 65, hkl 1 0 0
25.56 deg, rel. 56, hkl 0 1 1
58.25 deg, rel. 31, hkl 0 2 3
31.49 deg, rel. 26, hkl 0 1 2
42.32 deg, rel. 16, hkl 1 1 1